Starting from a PBE-relaxed structure, the powder diffractogram of K2TaF7 was calculated for λ = 1.5418 Å (Cu Kα).
Kinematic intensities with the Lorentz-polarization factor, no thermal factor.

Crystal structure
Lattice parameters (Å, degrees): 5.952 12.901 8.710 90.00 90.30 90.00
Space group P2_1/c (No. 14)
Unique sites:
K (0.236, 0.215, 0.054) x4
K (0.237, 0.559, 0.181) x4
Ta (0.271, 0.629, 0.724) x4
F (0.044, 0.608, 0.889) x4
F (0.045, 0.744, 0.701) x4
F (0.185, 0.623, 0.506) x4
F (0.209, 0.021, 0.214) x4
F (0.443, 0.079, 0.867) x4
F (0.456, 0.742, 0.213) x4
F (0.460, 0.610, 0.910) x4

Peak list (10 most intense, 2θ = 5–70°, most intense first)
2theta, Rel. int., index
17.11, 100, 0 2 1
16.40, 58, 1 1 0
19.33, 56, 1 1 1
27.56, 43, 1 3 -1
25.55, 42, 1 3 0
20.39, 38, 0 0 2
26.34, 33, 1 1 2
26.22, 23, 1 1 -2
43.35, 19, 0 6 1
30.03, 17, 2 0 0